Record 1
This entry pairs a crystal structure of Na2O with its computed powder XRD pattern. Radiation: Cu Kα, 1.54184 Å. Structure: a GGA-PBE-relaxed structure.

Largest 10 diffraction maxima, by intensity, 2θ from 5° to 70°:
- 2θ 37.8, I = 100
- 2θ 41.6, I = 67
- 2θ 44.7, I = 37
- 2θ 51.1, I = 24
- 2θ 49.1, I = 22
- 2θ 68.6, I = 17
- 2θ 51.4, I = 14
- 2θ 67.9, I = 10
- 2θ 62.4, I = 7
- 2θ 65.3, I = 4

Atomic structure:
Lattice parameters (Å, degrees): 6.194 6.194 3.709 90.00 90.00 120.00
Atoms (fractional coordinates):
Na (0.008, 0.740, 0.000)
Na (0.260, 0.269, 0.000)
Na (0.411, 0.010, 0.505)
Na (0.599, 0.589, 0.505)
Na (0.731, 0.992, 0.000)
Na (0.990, 0.401, 0.505)
O (0.000, 0.000, 0.495)
O (0.333, 0.667, 0.901)
O (0.667, 0.333, 0.031)

---

Record 2
This entry pairs a crystal structure of MgTe4Mo3WS4 with its computed powder XRD pattern. Radiation: Cu Kα, 1.54184 Å. Structure: a GGA-PBE-relaxed structure.

Largest 10 diffraction maxima, by intensity, 2θ from 5° to 70°:
- 2θ 10.7, I = 100
- 2θ 6.4, I = 88
- 2θ 35.2, I = 67
- 2θ 42.0, I = 41
- 2θ 30.5, I = 40
- 2θ 37.7, I = 35
- 2θ 54.2, I = 24
- 2θ 12.9, I = 15
- 2θ 30.8, I = 13
- 2θ 32.4, I = 13

Atomic structure:
Lattice parameters (Å, degrees): 3.382 3.382 41.221 90.12 90.12 59.99
Atoms (fractional coordinates):
Mg (0.000, 0.000, 0.000)
Te (0.000, 0.000, 0.677)
Te (0.002, 0.002, 0.769)
Te (0.333, 0.333, 0.241)
Te (0.335, 0.335, 0.332)
Mo (0.001, 0.001, 0.287)
Mo (0.003, 0.003, 0.906)
Mo (0.334, 0.334, 0.102)
W (0.334, 0.334, 0.723)
S (0.000, 0.000, 0.065)
S (0.002, 0.002, 0.138)
S (0.336, 0.336, 0.870)
S (0.336, 0.336, 0.943)